Diffraction record for LiAc2Al3Ag4. The powder X-ray diffraction pattern is computed, not measured: it uses the GGA-PBE geometry in Alexandria and copper Kα.
No peak broadening, texture or thermal motion is included.

Largest 8 diffraction maxima, most intense first, 2θ from 10° to 90°:
Position (°2θ)  I (rel.)  (hkl)
32.12  100.0  1 1 2
31.60  84.1  1 0 3
39.12  56.6  2 0 0
51.13  43.9  2 1 3
27.39  32.3  1 1 0
20.98  32.0  1 0 1
46.55  30.1  1 0 5
28.64  25.2  1 1 1

Cell and atoms:
Unit cell a=4.606 b=4.606 c=10.768 alpha=90.00 beta=90.00 gamma=90.00
Space group P-4m2 (No. 115)
Unique sites:
Li  0.000  0.000  0.000
Ac  0.000  0.500  0.746
Al  0.000  0.500  0.371
Al  0.500  0.500  0.000
Ag  0.000  0.000  0.500
Ag  0.000  0.500  0.126
Ag  0.500  0.500  0.500


Diffraction record for AcMg2Al2Ag. The powder X-ray diffraction pattern is computed, not measured: it uses the GGA-PBE geometry in Alexandria and copper Kα.
No peak broadening, texture or thermal motion is included.

Largest 8 diffraction maxima, most intense first, 2θ from 10° to 90°:
Position (°2θ)  I (rel.)  (hkl)
28.26  100.0  1 1 2
23.86  63.2  1 1 0
34.00  43.9  2 0 0
14.93  42.3  0 0 2
46.06  32.5  2 0 4
38.79  29.8  1 1 4
30.13  26.2  0 0 4
57.40  25.6  3 1 2

Cell and atoms:
Unit cell a=5.273 b=5.273 c=11.865 alpha=90.00 beta=90.00 gamma=90.00
Space group I4/mmm (No. 139)
Unique sites:
Ac  0.000  0.000  0.000
Mg  0.000  0.500  0.250
Al  0.000  0.000  0.294
Ag  0.000  0.000  0.500


Diffraction record for Ac2AlAgPd6. The powder X-ray diffraction pattern is computed, not measured: it uses the GGA-PBE geometry in Alexandria and copper Kα.
No peak broadening, texture or thermal motion is included.

Largest 8 diffraction maxima, most intense first, 2θ from 10° to 90°:
Position (°2θ)  I (rel.)  (hkl)
38.11  100.0  2 2 0
38.32  82.3  2 2 2
41.33  71.0  1 -2 0
40.56  69.0  0 2 -2
27.17  54.8  1 1 -1
28.05  52.7  1 -1 1
39.44  47.3  1 0 -2
28.25  45.8  1 2 1

Cell and atoms:
Unit cell a=5.572 b=6.665 c=7.004 alpha=81.35 beta=66.57 gamma=65.42
Space group P-1 (No. 2)
Unique sites:
Ac  0.033  0.226  0.208
Al  0.500  0.000  0.500
Ag  0.500  0.500  0.000
Pd  0.015  0.227  0.739
Pd  0.336  0.411  0.416
Pd  0.481  0.773  0.261